1.
Diffraction record for In2AsAu. The X-ray powder pattern is calculated, not measured: it uses DFT lattice parameters and positions (PBE) and a wavelength of 1.5418 Å.
Peak positions follow from Bragg's law for the DFT cell and can differ from measured ones.

Cell: 2.9219 3.8746 7.9716 Å, 90.00 90.00 90.00°
Space group Pmmm (No. 47)
Asymmetric unit:
In 0.0000 0.0000 0.2331 [2 per cell]
As 0.0000 0.5000 0.5000 [1 per cell]
Au 0.5000 0.5000 0.0000 [1 per cell]

Most intense lines, 2θ = 10–90°, by angle:
(hkl)  2theta  intensity
0 0 1  11.10  45
0 1 2  32.22  100
1 0 1  32.64  24
1 0 2  38.19  30
1 1 0  38.59  30
1 1 1  40.28  39

***

2.
Diffraction record for InAsAu2Se4. The X-ray powder pattern is calculated, not measured: it uses DFT lattice parameters and positions (PBE) and a wavelength of 1.5418 Å.
Peak positions follow from Bragg's law for the DFT cell and can differ from measured ones.

Cell: 5.7757 6.7114 7.0285 Å, 70.71 87.81 66.89°
Space group P1 (No. 1)
Asymmetric unit:
In 0.0000 0.0000 0.0000 [1 per cell]
As 0.2461 0.4773 0.7404 [1 per cell]
Au 0.7281 0.0227 0.4776 [1 per cell]
Au 0.7664 0.5438 0.0078 [1 per cell]
Se 0.2143 0.2530 0.0976 [1 per cell]
Se 0.3592 0.7783 0.7927 [1 per cell]
Se 0.6880 0.2899 0.6564 [1 per cell]
Se 0.8727 0.7419 0.3018 [1 per cell]

Most intense lines, 2θ = 10–90°, by angle:
(hkl)  2theta  intensity
1 0 0  16.78  56
1 0 1  22.65  43
1 1 -1  24.24  100
1 2 1  27.54  32
1 2 2  32.84  33
0 2 2  33.41  66

***

3.
Diffraction record for AsIr2Au. The X-ray powder pattern is calculated, not measured: it uses DFT lattice parameters and positions (PBE) and a wavelength of 1.5418 Å.
Peak positions follow from Bragg's law for the DFT cell and can differ from measured ones.

Cell: 7.4796 2.9585 6.1243 Å, 90.00 100.44 90.00°
Space group C2/m (No. 12)
Asymmetric unit:
As 0.0000 0.0000 0.0000 [2 per cell]
Ir 0.2475 0.5000 0.2043 [4 per cell]
Au 0.0000 0.5000 0.5000 [2 per cell]

Most intense lines, 2θ = 10–90°, by angle:
(hkl)  2theta  intensity
2 0 -2  34.92  54
1 1 1  36.89  100
2 0 2  42.08  30
3 1 -1  48.48  47
4 0 0  49.57  23
1 1 -3  54.80  22

***

4.
Diffraction record for TeAsIrAu. The X-ray powder pattern is calculated, not measured: it uses DFT lattice parameters and positions (PBE) and a wavelength of 1.5418 Å.
Peak positions follow from Bragg's law for the DFT cell and can differ from measured ones.

Cell: 4.2334 4.7397 4.8336 Å, 93.40 108.60 91.97°
Space group P1 (No. 1)
Asymmetric unit:
Te 0.0000 0.0000 0.0000 [1 per cell]
As 0.6715 0.6060 0.5002 [1 per cell]
Ir 0.0842 0.5201 0.2700 [1 per cell]
Au 0.4436 0.3362 0.8416 [1 per cell]

Most intense lines, 2θ = 10–90°, by angle:
(hkl)  2theta  intensity
0 1 0  18.79  100
0 1 1  28.16  66
-1 1 1  31.08  60
1 0 1  34.19  65
1 1 -2  42.46  57
2 0 -1  43.08  56

***

5.
Diffraction record for K8AsAu2. The X-ray powder pattern is calculated, not measured: it uses DFT lattice parameters and positions (PBE) and a wavelength of 1.5418 Å.
Peak positions follow from Bragg's law for the DFT cell and can differ from measured ones.

Cell: 5.7048 8.9835 16.7025 Å, 90.00 90.00 90.00°
Space group Immm (No. 71)
Asymmetric unit:
K 0.0000 0.0000 0.1437 [4 per cell]
K 0.0000 0.2295 0.3463 [8 per cell]
K 0.0000 0.2956 0.0000 [4 per cell]
As 0.0000 0.5000 0.5000 [2 per cell]
Au 0.0000 0.5000 0.1821 [4 per cell]

Most intense lines, 2θ = 10–90°, by angle:
(hkl)  2theta  intensity
1 1 0  18.42  42
0 1 3  18.75  38
1 2 3  29.98  100
2 0 0  31.36  25
0 0 6  32.15  17
1 1 6  37.32  18

***

6.
Diffraction record for K3As2Au2. The X-ray powder pattern is calculated, not measured: it uses DFT lattice parameters and positions (PBE) and a wavelength of 1.5418 Å.
Peak positions follow from Bragg's law for the DFT cell and can differ from measured ones.

Cell: 11.9076 4.8601 8.1671 Å, 90.00 112.85 90.00°
Space group C2/m (No. 12)
Asymmetric unit:
K 0.0000 0.0000 0.0000 [2 per cell]
K 0.1893 0.0000 0.6321 [4 per cell]
As 0.0130 0.5000 0.3609 [4 per cell]
Au 0.1890 0.5000 0.9162 [4 per cell]

Most intense lines, 2θ = 10–90°, by angle:
(hkl)  2theta  intensity
0 0 1  11.76  52
2 0 -1  15.87  100
1 1 0  19.98  35
1 1 -2  28.57  46
3 1 -1  29.15  47
3 1 1  36.26  52

***

7.
Diffraction record for La2As3Au3. The X-ray powder pattern is calculated, not measured: it uses DFT lattice parameters and positions (PBE) and a wavelength of 1.5418 Å.
Peak positions follow from Bragg's law for the DFT cell and can differ from measured ones.

Cell: 7.7257 7.7257 8.1540 Å, 90.00 90.00 120.00°
Space group P6_3/mcm (No. 193)
Asymmetric unit:
La 0.3333 0.6667 0.0000 [4 per cell]
As 0.0000 0.3350 0.2500 [6 per cell]
Au 0.0000 0.3276 0.7500 [6 per cell]

Most intense lines, 2θ = 10–90°, by angle:
(hkl)  2theta  intensity
0 0 2  21.80  28
1 1 1  25.53  44
1 1 2  31.92  100
3 0 0  40.45  67
2 2 2  52.42  25
3 0 4  61.64  39

***

8.
Diffraction record for LaAsAu2. The X-ray powder pattern is calculated, not measured: it uses DFT lattice parameters and positions (PBE) and a wavelength of 1.5418 Å.
Peak positions follow from Bragg's law for the DFT cell and can differ from measured ones.

Cell: 4.6993 5.5139 7.2070 Å, 90.00 90.00 90.00°
Space group Imm2 (No. 44)
Asymmetric unit:
La 0.0000 0.0000 0.0000 [2 per cell]
As 0.0000 0.5000 0.1949 [2 per cell]
Au 0.0000 0.0000 0.5426 [2 per cell]
Au 0.0000 0.5000 0.7766 [2 per cell]

Most intense lines, 2θ = 10–90°, by angle:
(hkl)  2theta  intensity
0 2 0  32.48  36
1 1 2  35.36  100
2 0 0  38.31  23
2 2 0  51.07  21
1 3 2  59.82  22
3 1 2  67.36  16

***

9.
Diffraction record for La2As3Pt4Au. The X-ray powder pattern is calculated, not measured: it uses DFT lattice parameters and positions (PBE) and a wavelength of 1.5418 Å.
Peak positions follow from Bragg's law for the DFT cell and can differ from measured ones.

Cell: 4.4318 4.4318 10.4384 Å, 90.00 90.00 90.00°
Space group P-4m2 (No. 115)
Asymmetric unit:
La 0.0000 0.5000 0.2467 [2 per cell]
As 0.0000 0.5000 0.8748 [2 per cell]
As 0.5000 0.5000 0.5000 [1 per cell]
Pt 0.0000 0.0000 0.0000 [1 per cell]
Pt 0.0000 0.5000 0.6435 [2 per cell]
Pt 0.5000 0.5000 0.0000 [1 per cell]
Au 0.0000 0.0000 0.5000 [1 per cell]

Most intense lines, 2θ = 10–90°, by angle:
(hkl)  2theta  intensity
1 0 3  32.72  31
1 1 2  33.35  100
2 0 0  40.72  60
1 1 4  45.22  33
2 2 0  58.94  20
3 1 2  69.44  24

***

10.
Diffraction record for LaAs2Rh5Au. The X-ray powder pattern is calculated, not measured: it uses DFT lattice parameters and positions (PBE) and a wavelength of 1.5418 Å.
Peak positions follow from Bragg's law for the DFT cell and can differ from measured ones.

Cell: 4.0420 4.0420 10.9484 Å, 90.00 90.00 90.00°
Space group P4/mmm (No. 123)
Asymmetric unit:
La 0.0000 0.0000 0.0000 [1 per cell]
As 0.5000 0.5000 0.2189 [2 per cell]
Rh 0.0000 0.5000 0.3348 [4 per cell]
Rh 0.5000 0.5000 0.0000 [1 per cell]
Au 0.0000 0.0000 0.5000 [1 per cell]

Most intense lines, 2θ = 10–90°, by angle:
(hkl)  2theta  intensity
1 0 1  23.46  38
1 0 2  27.43  93
1 1 2  35.43  87
1 1 3  40.07  53
2 0 0  44.85  92
1 1 4  45.91  100

***

11.
Diffraction record for LiAsAu2. The X-ray powder pattern is calculated, not measured: it uses DFT lattice parameters and positions (PBE) and a wavelength of 1.5418 Å.
Peak positions follow from Bragg's law for the DFT cell and can differ from measured ones.

Cell: 5.8629 5.8794 7.9440 Å, 90.00 90.00 90.00°
Space group Fmmm (No. 69)
Asymmetric unit:
Li 0.0000 0.0000 0.0000 [4 per cell]
As 0.0000 0.0000 0.5000 [4 per cell]
Au 0.2500 0.2500 0.2500 [8 per cell]

Most intense lines, 2θ = 10–90°, by angle:
(hkl)  2theta  intensity
0 0 2  22.38  40
2 0 0  30.45  39
2 0 2  38.12  100
2 2 0  43.60  34
2 2 2  49.55  21
2 2 4  64.99  21

***

12.
Diffraction record for Li5AsAu4. The X-ray powder pattern is calculated, not measured: it uses DFT lattice parameters and positions (PBE) and a wavelength of 1.5418 Å.
Peak positions follow from Bragg's law for the DFT cell and can differ from measured ones.

Cell: 3.0379 3.6119 14.2186 Å, 90.00 90.00 90.00°
Space group Pmmm (No. 47)
Asymmetric unit:
Li 0.0000 0.0000 0.0000 [1 per cell]
Li 0.0000 0.0000 0.2008 [2 per cell]
Li 0.0000 0.0000 0.4050 [2 per cell]
As 0.5000 0.5000 0.5000 [1 per cell]
Au 0.5000 0.5000 0.1004 [2 per cell]
Au 0.5000 0.5000 0.3012 [2 per cell]

Most intense lines, 2θ = 10–90°, by angle:
(hkl)  2theta  intensity
0 1 0  24.65  100
1 0 0  29.40  65
0 0 5  31.46  55
1 1 0  38.73  71
0 1 5  40.37  63
1 1 5  50.72  59

***

13.
Diffraction record for Li6AsAu3. The X-ray powder pattern is calculated, not measured: it uses DFT lattice parameters and positions (PBE) and a wavelength of 1.5418 Å.
Peak positions follow from Bragg's law for the DFT cell and can differ from measured ones.

Cell: 7.5324 4.4698 9.9096 Å, 90.00 111.53 90.00°
Space group P2_1/m (No. 11)
Asymmetric unit:
Li 0.0421 0.2500 0.3829 [2 per cell]
Li 0.1269 0.7500 0.2172 [2 per cell]
Li 0.2773 0.2500 0.9814 [2 per cell]
Li 0.3546 0.7500 0.8440 [2 per cell]
Li 0.3654 0.2500 0.2704 [2 per cell]
Li 0.4568 0.2500 0.5800 [2 per cell]
As 0.4324 0.7500 0.1432 [2 per cell]
Au 0.0414 0.7500 0.9175 [2 per cell]
Au 0.1734 0.2500 0.6872 [2 per cell]
Au 0.2461 0.7500 0.5082 [2 per cell]

Most intense lines, 2θ = 10–90°, by angle:
(hkl)  2theta  intensity
1 0 0  12.63  33
1 0 1  18.50  20
1 1 -2  27.46  100
2 0 1  30.44  42
0 2 0  40.36  24
1 1 3  41.45  78

***

14.
Diffraction record for Li4AsAu. The X-ray powder pattern is calculated, not measured: it uses DFT lattice parameters and positions (PBE) and a wavelength of 1.5418 Å.
Peak positions follow from Bragg's law for the DFT cell and can differ from measured ones.

Cell: 2.8220 4.2227 7.5521 Å, 90.00 90.00 90.00°
Space group Pmmm (No. 47)
Asymmetric unit:
Li 0.0000 0.0000 0.1607 [2 per cell]
Li 0.0000 0.5000 0.3296 [2 per cell]
As 0.5000 0.5000 0.0000 [1 per cell]
Au 0.5000 0.0000 0.5000 [1 per cell]

Most intense lines, 2θ = 10–90°, by angle:
(hkl)  2theta  intensity
0 0 1  11.72  47
0 0 2  23.56  53
0 1 1  24.15  100
1 0 0  31.73  34
1 0 2  39.88  32
1 1 1  40.25  62

***

15.
Diffraction record for LiAsAu2. The X-ray powder pattern is calculated, not measured: it uses DFT lattice parameters and positions (PBE) and a wavelength of 1.5418 Å.
Peak positions follow from Bragg's law for the DFT cell and can differ from measured ones.

Cell: 2.8553 4.4562 5.6783 Å, 90.00 90.35 90.00°
Space group P2/m (No. 10)
Asymmetric unit:
Li 0.0000 0.0000 0.0000 [1 per cell]
As 0.5000 0.0000 0.5000 [1 per cell]
Au 0.4982 0.5000 0.2378 [2 per cell]

Most intense lines, 2θ = 10–90°, by angle:
(hkl)  2theta  intensity
0 1 0  19.92  100
1 0 0  31.33  77
1 1 0  37.41  46
0 1 2  37.56  97
1 1 -2  49.56  43
1 1 2  49.83  42